Structure and theoretical XRD peak list of Ba3Ca4Cd (the PBE geometry in Alexandria; copper Kα).
Intensities are scaled so that the largest is 100.

Atomic structure:
```
data_Ba3Ca4Cd
_symmetry_space_group_name_H-M 'P 1'
_symmetry_Int_Tables_number 1
_symmetry_space_group_name_Hall 'P 1'
_cell_length_a 4.0772
_cell_length_b 4.0772
_cell_length_c 22.1519
_cell_angle_alpha 90.00
_cell_angle_beta 90.00
_cell_angle_gamma 90.00
loop_
_atom_site_label
_atom_site_fract_x
_atom_site_fract_y
_atom_site_fract_z
Ba1 0.0000 0.0000 0.0000
Ba2 0.0000 0.0000 0.2801
Ba3 0.0000 0.0000 0.7199
Ca1 0.5000 0.5000 0.1394
Ca2 0.5000 0.5000 0.4198
Ca3 0.5000 0.5000 0.5802
Ca4 0.5000 0.5000 0.8606
Cd1 0.0000 0.0000 0.5000
```

Peak list (10 most intense, 2θ = 10–90°, by angle)
2θ 16.0, d 5.538, rel. 28; 2θ 21.8, d 4.077, rel. 31; 2θ 24.9, d 3.569, rel. 23; 2θ 27.2, d 3.283, rel. 100; 2θ 29.8, d 3.000, rel. 15; 2θ 31.0, d 2.883, rel. 53; 2θ 35.1, d 2.557, rel. 17; 2θ 42.4, d 2.131, rel. 18; 2θ 44.4, d 2.039, rel. 19; 2θ 52.9, d 1.732, rel. 30

***

Structure and theoretical XRD peak list of Ba3Ca12Cd (the PBE geometry in Alexandria; copper Kα).
Intensities are scaled so that the largest is 100.

Atomic structure:
```
data_Ba3Ca12Cd
_symmetry_space_group_name_H-M 'P 1'
_symmetry_Int_Tables_number 1
_symmetry_space_group_name_Hall 'P 1'
_cell_length_a 5.8041
_cell_length_b 5.8041
_cell_length_c 20.7864
_cell_angle_alpha 90.00
_cell_angle_beta 90.00
_cell_angle_gamma 90.00
loop_
_atom_site_label
_atom_site_fract_x
_atom_site_fract_y
_atom_site_fract_z
Ba1 0.0000 0.0000 0.0000
Ba2 0.0000 0.0000 0.2696
Ba3 0.0000 0.0000 0.7304
Ca1 0.0000 0.5000 0.1353
Ca2 0.0000 0.5000 0.4041
Ca3 0.0000 0.5000 0.5959
Ca4 0.0000 0.5000 0.8647
Ca5 0.5000 0.0000 0.1353
Ca6 0.5000 0.0000 0.4041
Ca7 0.5000 0.0000 0.5959
Ca8 0.5000 0.0000 0.8647
Ca9 0.5000 0.5000 0.0000
Ca10 0.5000 0.5000 0.2729
Ca11 0.5000 0.5000 0.5000
Ca12 0.5000 0.5000 0.7271
Cd1 0.0000 0.0000 0.5000
```

Peak list (10 most intense, 2θ = 10–90°, by angle)
2θ 15.3, d 5.804, rel. 26; 2θ 17.1, d 5.197, rel. 10; 2θ 21.7, d 4.104, rel. 12; 2θ 23.0, d 3.872, rel. 18; 2θ 27.7, d 3.221, rel. 100; 2θ 30.8, d 2.902, rel. 46; 2θ 34.5, d 2.597, rel. 15; 2θ 44.1, d 2.052, rel. 16; 2θ 46.9, d 1.936, rel. 13; 2θ 52.9, d 1.731, rel. 31

***

Structure and theoretical XRD peak list of BaCaCd2H8 (the PBE geometry in Alexandria; copper Kα).
Intensities are scaled so that the largest is 100.

Atomic structure:
```
data_BaCaCd2H8
_symmetry_space_group_name_H-M 'P 1'
_symmetry_Int_Tables_number 1
_symmetry_space_group_name_Hall 'P 1'
_cell_length_a 5.2310
_cell_length_b 5.2310
_cell_length_c 8.1055
_cell_angle_alpha 90.00
_cell_angle_beta 90.00
_cell_angle_gamma 120.00
loop_
_atom_site_label
_atom_site_fract_x
_atom_site_fract_y
_atom_site_fract_z
Ba1 0.0000 0.0000 0.0000
Ca1 0.0000 0.0000 0.5000
Cd1 0.3333 0.6667 0.7529
Cd2 0.6667 0.3333 0.2471
H1 0.0240 0.3074 0.6976
H2 0.2834 0.9760 0.6976
H3 0.3074 0.2834 0.3024
H4 0.3333 0.6667 0.9809
H5 0.6667 0.3333 0.0191
H6 0.6926 0.7166 0.6976
H7 0.7166 0.0240 0.3024
H8 0.9760 0.6926 0.3024
```

Peak list (10 most intense, 2θ = 10–90°, by angle)
2θ 10.9, d 8.106, rel. 15; 2θ 22.5, d 3.954, rel. 100; 2θ 29.6, d 3.020, rel. 88; 2θ 34.3, d 2.615, rel. 58; 2θ 38.8, d 2.320, rel. 25; 2θ 41.4, d 2.182, rel. 20; 2θ 45.9, d 1.977, rel. 26; 2θ 54.8, d 1.675, rel. 17; 2θ 57.5, d 1.602, rel. 25; 2θ 58.5, d 1.577, rel. 24

***

Structure and theoretical XRD peak list of BaCa2CdIr (the PBE geometry in Alexandria; copper Kα).
Intensities are scaled so that the largest is 100.

Atomic structure:
```
data_BaCa2CdIr
_symmetry_space_group_name_H-M 'P 1'
_symmetry_Int_Tables_number 1
_symmetry_space_group_name_Hall 'P 1'
_cell_length_a 5.5330
_cell_length_b 5.5330
_cell_length_c 6.0614
_cell_angle_alpha 90.00
_cell_angle_beta 90.00
_cell_angle_gamma 90.00
loop_
_atom_site_label
_atom_site_fract_x
_atom_site_fract_y
_atom_site_fract_z
Ba1 0.0000 0.0000 0.0000
Ca1 0.0000 0.5000 0.5000
Ca2 0.5000 0.0000 0.5000
Cd1 0.5000 0.5000 0.0000
Ir1 0.0000 0.0000 0.5000
```

Peak list (10 most intense, 2θ = 10–90°, by angle)
2θ 16.0, d 5.533, rel. 77; 2θ 21.7, d 4.087, rel. 54; 2θ 22.7, d 3.912, rel. 100; 2θ 29.5, d 3.031, rel. 59; 2θ 32.4, d 2.767, rel. 92; 2θ 37.5, d 2.396, rel. 56; 2θ 44.3, d 2.043, rel. 76; 2θ 55.9, d 1.644, rel. 38; 2θ 61.2, d 1.515, rel. 35; 2θ 84.6, d 1.145, rel. 35

***

Structure and theoretical XRD peak list of BaLiCa2Cd4 (the PBE geometry in Alexandria; copper Kα).
Intensities are scaled so that the largest is 100.

Atomic structure:
```
data_BaLiCa2Cd4
_symmetry_space_group_name_H-M 'P 1'
_symmetry_Int_Tables_number 1
_symmetry_space_group_name_Hall 'P 1'
_cell_length_a 10.0460
_cell_length_b 10.0460
_cell_length_c 10.0460
_cell_angle_alpha 31.14
_cell_angle_beta 31.14
_cell_angle_gamma 31.14
loop_
_atom_site_label
_atom_site_fract_x
_atom_site_fract_y
_atom_site_fract_z
Ba1 0.0000 0.0000 0.0000
Li1 0.5000 0.5000 0.5000
Ca1 0.2376 0.2376 0.2376
Ca2 0.7624 0.7624 0.7624
Cd1 0.1251 0.1251 0.1251
Cd2 0.3994 0.3994 0.3994
Cd3 0.6006 0.6006 0.6006
Cd4 0.8749 0.8749 0.8749
```

Peak list (10 most intense, 2θ = 10–90°, by angle)
2θ 22.7, d 3.912, rel. 22; 2θ 24.6, d 3.620, rel. 24; 2θ 29.0, d 3.078, rel. 30; 2θ 31.5, d 2.842, rel. 66; 2θ 33.2, d 2.696, rel. 100; 2θ 36.8, d 2.442, rel. 15; 2θ 46.4, d 1.956, rel. 22; 2θ 58.2, d 1.584, rel. 29; 2θ 59.3, d 1.558, rel. 33; 2θ 78.5, d 1.219, rel. 15

***

Structure and theoretical XRD peak list of BaCa2MgCd4 (the PBE geometry in Alexandria; copper Kα).
Intensities are scaled so that the largest is 100.

Atomic structure:
```
data_BaCa2MgCd4
_symmetry_space_group_name_H-M 'P 1'
_symmetry_Int_Tables_number 1
_symmetry_space_group_name_Hall 'P 1'
_cell_length_a 10.3242
_cell_length_b 10.3242
_cell_length_c 10.3242
_cell_angle_alpha 29.94
_cell_angle_beta 29.94
_cell_angle_gamma 29.94
loop_
_atom_site_label
_atom_site_fract_x
_atom_site_fract_y
_atom_site_fract_z
Ba1 0.0000 0.0000 0.0000
Ca1 0.2361 0.2361 0.2361
Ca2 0.7639 0.7639 0.7639
Mg1 0.5000 0.5000 0.5000
Cd1 0.1262 0.1262 0.1262
Cd2 0.3968 0.3968 0.3968
Cd3 0.6032 0.6032 0.6032
Cd4 0.8738 0.8738 0.8738
```

Peak list (10 most intense, 2θ = 10–90°, by angle)
2θ 22.7, d 3.917, rel. 19; 2θ 24.5, d 3.640, rel. 21; 2θ 28.6, d 3.117, rel. 22; 2θ 31.0, d 2.886, rel. 78; 2θ 33.6, d 2.667, rel. 100; 2θ 36.1, d 2.490, rel. 16; 2θ 46.4, d 1.958, rel. 25; 2θ 58.2, d 1.585, rel. 15; 2θ 58.5, d 1.579, rel. 24; 2θ 60.1, d 1.540, rel. 18

***

Structure and theoretical XRD peak list of Ba2CaCdSb2 (the PBE geometry in Alexandria; copper Kα).
Intensities are scaled so that the largest is 100.

Atomic structure:
```
data_Ba2CaCdSb2
_symmetry_space_group_name_H-M 'P 1'
_symmetry_Int_Tables_number 1
_symmetry_space_group_name_Hall 'P 1'
_cell_length_a 10.0230
_cell_length_b 10.0230
_cell_length_c 10.0230
_cell_angle_alpha 138.53
_cell_angle_beta 61.04
_cell_angle_gamma 137.30
loop_
_atom_site_label
_atom_site_fract_x
_atom_site_fract_y
_atom_site_fract_z
Ba1 0.1678 0.2012 0.3691
Ba2 0.3322 0.7012 0.0334
Ba3 0.6678 0.2988 0.9666
Ba4 0.8322 0.7988 0.6309
Ca1 0.2500 0.7500 0.5000
Ca2 0.7500 0.2500 0.5000
Cd1 0.2500 0.2500 0.0000
Cd2 0.7500 0.7500 0.0000
Sb1 0.1293 0.6993 0.8286
Sb2 0.3707 0.1993 0.5701
Sb3 0.6293 0.8007 0.4299
Sb4 0.8707 0.3007 0.1714
```

Peak list (10 most intense, 2θ = 10–90°, by angle)
2θ 24.4, d 3.649, rel. 42; 2θ 26.5, d 3.361, rel. 53; 2θ 27.1, d 3.287, rel. 83; 2θ 28.4, d 3.138, rel. 53; 2θ 31.1, d 2.878, rel. 40; 2θ 32.1, d 2.787, rel. 100; 2θ 32.7, d 2.742, rel. 68; 2θ 35.3, d 2.544, rel. 86; 2θ 47.7, d 1.906, rel. 36; 2θ 60.0, d 1.542, rel. 29

***

Structure and theoretical XRD peak list of BaCaTl2Cd2 (the PBE geometry in Alexandria; copper Kα).
Intensities are scaled so that the largest is 100.

Atomic structure:
```
data_BaCaTl2Cd2
_symmetry_space_group_name_H-M 'P 1'
_symmetry_Int_Tables_number 1
_symmetry_space_group_name_Hall 'P 1'
_cell_length_a 5.1345
_cell_length_b 5.1345
_cell_length_c 8.2199
_cell_angle_alpha 90.00
_cell_angle_beta 90.00
_cell_angle_gamma 120.00
loop_
_atom_site_label
_atom_site_fract_x
_atom_site_fract_y
_atom_site_fract_z
Ba1 0.0000 0.0000 0.0000
Ca1 0.0000 0.0000 0.5000
Tl1 0.3333 0.6667 0.2859
Tl2 0.6667 0.3333 0.7141
Cd1 0.3333 0.6667 0.6993
Cd2 0.6667 0.3333 0.3007
```

Peak list (10 most intense, 2θ = 10–90°, by angle)
2θ 21.6, d 4.110, rel. 23; 2θ 22.7, d 3.911, rel. 46; 2θ 29.6, d 3.018, rel. 96; 2θ 34.9, d 2.567, rel. 100; 2θ 41.5, d 2.177, rel. 27; 2θ 46.4, d 1.956, rel. 28; 2θ 48.6, d 1.873, rel. 34; 2θ 57.4, d 1.604, rel. 18; 2θ 59.4, d 1.556, rel. 26; 2θ 62.7, d 1.482, rel. 18

***

Structure and theoretical XRD peak list of BaCaCl (the PBE geometry in Alexandria; copper Kα).
Intensities are scaled so that the largest is 100.

Atomic structure:
```
data_BaCaCl
_symmetry_space_group_name_H-M 'P 1'
_symmetry_Int_Tables_number 1
_symmetry_space_group_name_Hall 'P 1'
_cell_length_a 4.1208
_cell_length_b 4.1208
_cell_length_c 7.7356
_cell_angle_alpha 90.00
_cell_angle_beta 90.00
_cell_angle_gamma 120.00
loop_
_atom_site_label
_atom_site_fract_x
_atom_site_fract_y
_atom_site_fract_z
Ba1 0.0000 0.0000 0.0000
Ca1 0.6667 0.3333 0.4372
Cl1 0.3333 0.6667 0.6887
```

Peak list (10 most intense, 2θ = 10–90°, by angle)
2θ 11.4, d 7.736, rel. 27; 2θ 23.0, d 3.868, rel. 17; 2θ 25.0, d 3.569, rel. 19; 2θ 27.5, d 3.240, rel. 100; 2θ 34.2, d 2.623, rel. 44; 2θ 43.3, d 2.090, rel. 19; 2θ 43.9, d 2.060, rel. 21; 2θ 50.2, d 1.818, rel. 13; 2θ 52.6, d 1.739, rel. 16; 2θ 70.9, d 1.329, rel. 13

***

Structure and theoretical XRD peak list of BaCaCl2 (the PBE geometry in Alexandria; copper Kα).
Intensities are scaled so that the largest is 100.

Atomic structure:
```
data_BaCaCl2
_symmetry_space_group_name_H-M 'P 1'
_symmetry_Int_Tables_number 1
_symmetry_space_group_name_Hall 'P 1'
_cell_length_a 4.2686
_cell_length_b 4.2686
_cell_length_c 7.9638
_cell_angle_alpha 105.60
_cell_angle_beta 105.60
_cell_angle_gamma 60.13
loop_
_atom_site_label
_atom_site_fract_x
_atom_site_fract_y
_atom_site_fract_z
Ba1 0.0000 0.0000 0.0000
Ca1 0.5000 0.5000 0.5000
Cl1 0.2275 0.2275 0.6825
Cl2 0.7725 0.7725 0.3175
```

Peak list (10 most intense, 2θ = 10–90°, by angle)
2θ 11.7, d 7.570, rel. 14; 2θ 23.5, d 3.785, rel. 15; 2θ 24.4, d 3.651, rel. 26; 2θ 25.3, d 3.517, rel. 26; 2θ 28.8, d 3.099, rel. 100; 2θ 31.2, d 2.868, rel. 27; 2θ 40.0, d 2.252, rel. 30; 2θ 42.3, d 2.136, rel. 36; 2θ 46.9, d 1.935, rel. 12; 2θ 52.0, d 1.760, rel. 12

***

Structure and theoretical XRD peak list of Ba6CaNb2IrCl2O12 (the PBE geometry in Alexandria; copper Kα).
Intensities are scaled so that the largest is 100.

Atomic structure:
```
data_Ba6CaNb2IrCl2O12
_symmetry_space_group_name_H-M 'P 1'
_symmetry_Int_Tables_number 1
_symmetry_space_group_name_Hall 'P 1'
_cell_length_a 6.0591
_cell_length_b 6.0894
_cell_length_c 16.1120
_cell_angle_alpha 93.10
_cell_angle_beta 93.16
_cell_angle_gamma 119.83
loop_
_atom_site_label
_atom_site_fract_x
_atom_site_fract_y
_atom_site_fract_z
Ba1 0.0000 0.0000 0.0000
Ba2 0.0228 0.0108 0.2380
Ba3 0.1062 0.4018 0.4669
Ba4 0.2843 0.6247 0.8719
Ba5 0.3436 0.6789 0.1172
Ba6 0.8202 0.7718 0.6126
Ca1 0.7529 0.6879 0.3990
Nb1 0.4241 0.0471 0.4323
Nb2 0.6741 0.3423 0.0453
Ir1 0.6149 0.2207 0.2444
Cl1 0.2018 0.5262 0.6677
Cl2 0.8861 0.8482 0.8094
O1 0.1485 0.7638 0.3600
O2 0.1494 0.0043 0.5011
O3 0.4211 0.2728 0.1488
O4 0.4332 0.2922 0.3435
O5 0.4349 0.9819 0.9919
O6 0.4775 0.4707 0.9874
O7 0.5621 0.8563 0.4864
O8 0.6795 0.4007 0.4967
O9 0.7290 0.0920 0.3431
O10 0.7875 0.1753 0.1390
O11 0.9005 0.6818 0.1095
O12 0.9476 0.4023 0.9776
```

Peak list (10 most intense, 2θ = 10–90°, by angle)
2θ 17.3, d 5.136, rel. 64; 2θ 18.2, d 4.862, rel. 43; 2θ 26.7, d 3.341, rel. 54; 2θ 29.3, d 3.049, rel. 61; 2θ 29.4, d 3.038, rel. 97; 2θ 29.5, d 3.025, rel. 100; 2θ 30.7, d 2.917, rel. 40; 2θ 32.7, d 2.736, rel. 50; 2θ 39.8, d 2.265, rel. 42; 2θ 52.2, d 1.752, rel. 44

***

Structure and theoretical XRD peak list of Ba6CaNb2IrCl2O12 (the PBE geometry in Alexandria; copper Kα).
Intensities are scaled so that the largest is 100.

Atomic structure:
```
data_Ba6CaNb2IrCl2O12
_symmetry_space_group_name_H-M 'P 1'
_symmetry_Int_Tables_number 1
_symmetry_space_group_name_Hall 'P 1'
_cell_length_a 5.9563
_cell_length_b 6.2454
_cell_length_c 15.6638
_cell_angle_alpha 83.40
_cell_angle_beta 89.63
_cell_angle_gamma 61.63
loop_
_atom_site_label
_atom_site_fract_x
_atom_site_fract_y
_atom_site_fract_z
Ba1 0.0000 0.0000 0.0000
Ba2 0.0094 0.9781 0.2558
Ba3 0.1552 0.6599 0.6650
Ba4 0.3280 0.3486 0.1230
Ba5 0.4715 0.0421 0.5247
Ba6 0.4925 0.9813 0.7693
Ca1 0.2961 0.4157 0.9052
Nb1 0.6525 0.7009 0.0791
Nb2 0.8291 0.3143 0.7016
Ir1 0.7517 0.5068 0.8926
Cl1 0.0734 0.8424 0.4624
Cl2 0.4077 0.1772 0.3189
O1 0.0158 0.4234 0.8028
O2 0.1291 0.2289 0.6365
O3 0.3474 0.8016 0.1417
O4 0.4777 0.5939 0.9807
O5 0.4861 0.0455 0.0015
O6 0.5464 0.4507 0.7981
O7 0.6089 0.2478 0.6346
O8 0.6689 0.6847 0.6507
O9 0.8144 0.3483 0.1313
O10 0.8577 0.7905 0.1445
O11 0.9449 0.5836 0.9855
O12 0.9825 0.9959 0.7738
```

Peak list (10 most intense, 2θ = 10–90°, by angle)
2θ 17.6, d 5.048, rel. 43; 2θ 23.4, d 3.806, rel. 20; 2θ 23.5, d 3.787, rel. 20; 2θ 26.4, d 3.372, rel. 46; 2θ 28.7, d 3.107, rel. 71; 2θ 29.9, d 2.989, rel. 41; 2θ 30.0, d 2.980, rel. 100; 2θ 30.0, d 2.975, rel. 27; 2θ 31.3, d 2.861, rel. 22; 2θ 40.3, d 2.237, rel. 23